Starting from a GGA-PBE-relaxed structure, the powder X-ray diffraction pattern of YNi9Sn2 was calculated for a wavelength of 1.5418 Å.

The 10 most intense peaks (10 to 80 degrees two-theta), low angle first:
34.54 deg, I 204, (3 1 0); 36.82 deg, I 183, (0 0 2); 39.29 deg, I 1000, (3 1 1); 43.11 deg, I 216, (2 0 2); 43.86 deg, I 475, (3 2 1); 44.57 deg, I 975, (2 1 2); 45.54 deg, I 344, (4 1 0); 46.94 deg, I 209, (3 3 0); 67.98 deg, I 179, (3 1 3); 73.17 deg, I 180, (5 2 2)

Crystal structure
Cell lengths 8.213, 8.213, 4.882 Å; angles 90.00, 90.00, 90.00 degrees
Space group P4/mbm (No. 127)
Unique sites:
Y 0.000 0.000 0.000 (multiplicity 2)
Ni 0.000 0.500 0.500 (multiplicity 2)
Ni 0.066 0.205 0.500 (multiplicity 8)
Ni 0.174 0.674 0.246 (multiplicity 8)
Sn 0.128 0.372 0.000 (multiplicity 4)

***

Starting from a GGA-PBE-relaxed structure, the powder X-ray diffraction pattern of PrHoSbSe was calculated for a wavelength of 1.5418 Å.

The 10 most intense peaks (10 to 80 degrees two-theta), low angle first:
25.63 deg, I 484, (0 1 2); 31.49 deg, I 1000, (0 1 5); 37.16 deg, I 520, (1 0 7); 42.88 deg, I 546, (1 1 0); 47.29 deg, I 141, (1 0 10); 54.16 deg, I 214, (2 0 5); 58.02 deg, I 142, (0 2 7); 66.56 deg, I 273, (1 1 12); 71.45 deg, I 186, (1 2 5); 74.79 deg, I 134, (2 1 7)

Crystal structure
Cell lengths 4.2177, 4.2177, 22.6035 Å; angles 90.00, 90.00, 120.00 degrees
Space group R3m (No. 160, hexagonal axes)
Unique sites:
Pr 0.0000 0.0000 0.0000 (multiplicity 3)
Ho 0.0000 0.0000 0.1675 (multiplicity 3)
Sb 0.0000 0.0000 0.5786 (multiplicity 3)
Se 0.0000 0.0000 0.7567 (multiplicity 3)

***

Starting from a GGA-PBE-relaxed structure, the powder X-ray diffraction pattern of DyGa2Ni5 was calculated for a wavelength of 1.5418 Å.

The 10 most intense peaks (10 to 80 degrees two-theta), low angle first:
31.42 deg, I 219, (0 1 3); 33.92 deg, I 585, (1 1 2); 37.79 deg, I 746, (1 0 3); 37.93 deg, I 1000, (1 2 1); 41.94 deg, I 194, (0 3 1); 47.21 deg, I 652, (0 2 4); 50.22 deg, I 383, (2 0 0); 52.13 deg, I 227, (1 3 2); 54.72 deg, I 184, (1 0 5); 71.39 deg, I 359, (2 2 4)

Crystal structure
Cell lengths 3.633, 6.637, 9.455 Å; angles 90.00, 90.00, 90.00 degrees
Space group Immm (No. 71)
Unique sites:
Dy 0.000 0.000 0.000 (multiplicity 2)
Ga 0.000 0.500 0.247 (multiplicity 4)
Ni 0.000 0.188 0.367 (multiplicity 8)
Ni 0.000 0.500 0.000 (multiplicity 2)

***

Starting from a GGA-PBE-relaxed structure, the powder X-ray diffraction pattern of Mg2Ag5Cl12 was calculated for a wavelength of 1.5418 Å.

The 10 most intense peaks (10 to 80 degrees two-theta), low angle first:
22.76 deg, I 1000, (1 -2 0); 23.15 deg, I 628, (1 1 -1); 24.86 deg, I 190, (2 -1 0); 25.25 deg, I 258, (0 1 2); 31.07 deg, I 293, (1 0 -3); 35.72 deg, I 314, (2 0 2); 42.75 deg, I 327, (-2 2 3); 43.10 deg, I 434, (2 1 -3); 45.82 deg, I 314, (2 2 -1); 50.99 deg, I 253, (4 -2 0)

Crystal structure
Cell lengths 7.164, 7.984, 9.431 Å; angles 100.67, 90.01, 116.62 degrees
Space group P-1 (No. 2)
Unique sites:
Mg 0.238 0.499 0.000 (multiplicity 2)
Ag 0.000 0.500 0.500 (multiplicity 1)
Ag 0.291 0.083 0.267 (multiplicity 2)
Ag 0.357 0.214 0.663 (multiplicity 2)
Cl 0.050 0.601 0.847 (multiplicity 2)
Cl 0.085 0.151 0.837 (multiplicity 2)
Cl 0.134 0.249 0.476 (multiplicity 2)
Cl 0.384 0.751 0.524 (multiplicity 2)
Cl 0.433 0.849 0.163 (multiplicity 2)
Cl 0.452 0.404 0.149 (multiplicity 2)